(1)
# Zn5RhAu2
Simulated X-ray powder pattern, Cu Kα X-rays. Input: a crystal structure in Alexandria, relaxed with GGA-PBE.
Peak positions follow from Bragg's law for the DFT cell and can differ from measured ones.

Structural model:
Cell lengths 4.0342, 4.0342, 14.9274 Å; angles 90.00, 90.00, 90.00 degrees
Sites, in units of the cell vectors:
Zn  0.0000  0.0000  0.0000
Zn  0.0000  0.5000  0.1180
Zn  0.0000  0.5000  0.3820
Zn  0.0000  0.5000  0.6180
Zn  0.0000  0.5000  0.8820
Zn  0.5000  0.0000  0.1180
Zn  0.5000  0.0000  0.3820
Zn  0.5000  0.0000  0.6180
Zn  0.5000  0.0000  0.8820
Zn  0.5000  0.5000  0.5000
Rh  0.0000  0.0000  0.5000
Rh  0.5000  0.5000  0.0000
Au  0.0000  0.0000  0.2604
Au  0.0000  0.0000  0.7396
Au  0.5000  0.5000  0.2396
Au  0.5000  0.5000  0.7604

The 6 most intense peaks (2θ = 10–80°), in order of rising 2θ:
two_theta, I/Imax, hkl
11.86, 20, 0 0 2
33.63, 13, 1 1 2
39.77, 100, 1 1 4
44.94, 37, 2 0 0
68.50, 17, 2 0 8
79.38, 26, 3 1 4


(2)
# Zn4RhAu3
Simulated X-ray powder pattern, Cu Kα X-rays. Input: a crystal structure in Alexandria, relaxed with GGA-PBE.
Peak positions follow from Bragg's law for the DFT cell and can differ from measured ones.

Structural model:
Cell lengths 3.1701, 3.1701, 12.4018 Å; angles 90.00, 90.00, 90.00 degrees
Sites, in units of the cell vectors:
Zn  0.0000  0.0000  0.1117
Zn  0.0000  0.0000  0.3707
Zn  0.0000  0.0000  0.6293
Zn  0.0000  0.0000  0.8883
Rh  0.5000  0.5000  0.0000
Au  0.5000  0.5000  0.2412
Au  0.5000  0.5000  0.5000
Au  0.5000  0.5000  0.7588

The 6 most intense peaks (2θ = 10–80°), in order of rising 2θ:
two_theta, I/Imax, hkl
28.15, 24, 1 0 0
40.23, 54, 1 1 0
40.71, 100, 1 0 4
58.20, 18, 2 0 0
73.44, 35, 2 1 4
74.40, 15, 1 1 8


(3)
# Zn8Rh2Au
Simulated X-ray powder pattern, Cu Kα X-rays. Input: a crystal structure in Alexandria, relaxed with GGA-PBE.
Peak positions follow from Bragg's law for the DFT cell and can differ from measured ones.

Structural model:
Cell lengths 6.3720, 4.2577, 6.5416 Å; angles 90.00, 104.81, 90.00 degrees
Sites, in units of the cell vectors:
Zn  0.0455  0.0000  0.3095
Zn  0.2218  0.5000  0.7162
Zn  0.3046  0.0000  0.0250
Zn  0.3443  0.5000  0.3332
Zn  0.6557  0.5000  0.6668
Zn  0.6954  0.0000  0.9750
Zn  0.7782  0.5000  0.2838
Zn  0.9545  0.0000  0.6905
Rh  0.3765  0.0000  0.6379
Rh  0.6235  0.0000  0.3621
Au  0.0000  0.5000  0.0000

The 6 most intense peaks (2θ = 10–80°), in order of rising 2θ:
two_theta, I/Imax, hkl
22.58, 20, 1 0 1
41.17, 100, 2 1 -2
41.56, 51, 2 1 1
42.46, 36, 0 2 0
42.90, 27, 0 0 3
77.13, 18, 2 1 -5


(4)
# ZnRh2Au
Simulated X-ray powder pattern, Cu Kα X-rays. Input: a crystal structure in Alexandria, relaxed with GGA-PBE.
Peak positions follow from Bragg's law for the DFT cell and can differ from measured ones.

Structural model:
Cell lengths 3.9840, 3.9840, 7.6062 Å; angles 90.00, 90.00, 90.00 degrees
Sites, in units of the cell vectors:
Zn  0.0000  0.0000  0.0000
Zn  0.5000  0.5000  0.5000
Rh  0.0000  0.5000  0.2500
Rh  0.0000  0.5000  0.7500
Rh  0.5000  0.0000  0.2500
Rh  0.5000  0.0000  0.7500
Au  0.0000  0.0000  0.5000
Au  0.5000  0.5000  0.0000

The 6 most intense peaks (2θ = 10–80°), in order of rising 2θ:
two_theta, I/Imax, hkl
25.23, 22, 1 0 1
39.82, 100, 1 1 2
45.54, 34, 2 0 0
47.83, 15, 0 0 4
66.37, 11, 2 2 0
68.18, 20, 2 0 4


(5)
# Zr6RhAu
Simulated X-ray powder pattern, Cu Kα X-rays. Input: a crystal structure in Alexandria, relaxed with GGA-PBE.
Peak positions follow from Bragg's law for the DFT cell and can differ from measured ones.

Structural model:
Cell lengths 5.4831, 5.4916, 5.4936 Å; angles 89.55, 89.91, 89.21 degrees
Sites, in units of the cell vectors:
Zr  0.9998  0.0030  0.2478
Zr  0.0002  0.9970  0.7522
Zr  0.2476  0.4992  0.5007
Zr  0.4938  0.2524  0.0003
Zr  0.5062  0.7476  0.9997
Zr  0.7524  0.5008  0.4993
Rh  0.0000  0.5000  0.0000
Au  0.5000  0.0000  0.5000

The 6 most intense peaks (2θ = 10–80°), in order of rising 2θ:
two_theta, I/Imax, hkl
32.63, 100, 0 2 0
36.44, 62, 2 1 0
36.60, 59, 1 0 2
39.97, 56, 1 1 2
40.18, 55, 1 2 -1
40.45, 57, -2 1 1


(6)
# Zr6RhAu3
Simulated X-ray powder pattern, Cu Kα X-rays. Input: a crystal structure in Alexandria, relaxed with GGA-PBE.
Peak positions follow from Bragg's law for the DFT cell and can differ from measured ones.

Structural model:
Cell lengths 5.3151, 8.6445, 10.6742 Å; angles 90.00, 119.26, 90.00 degrees
Sites, in units of the cell vectors:
Zr  0.0164  0.1867  0.4462
Zr  0.0164  0.3133  0.9462
Zr  0.3730  0.1157  0.2394
Zr  0.3730  0.3843  0.7394
Zr  0.3807  0.6754  0.4589
Zr  0.3807  0.8246  0.9589
Zr  0.6193  0.1754  0.0411
Zr  0.6193  0.3246  0.5411
Zr  0.6270  0.6157  0.2606
Zr  0.6270  0.8843  0.7606
Zr  0.9836  0.6867  0.0538
Zr  0.9836  0.8133  0.5538
Rh  0.0000  0.0000  0.0000
Rh  0.0000  0.5000  0.5000
Au  0.1063  0.0947  0.7509
Au  0.1063  0.4053  0.2509
Au  0.5000  0.0000  0.5000
Au  0.5000  0.5000  0.0000
Au  0.8937  0.5947  0.7491
Au  0.8937  0.9053  0.2491

The 6 most intense peaks (2θ = 10–80°), in order of rising 2θ:
two_theta, I/Imax, hkl
32.81, 77, 1 2 1
33.02, 94, 1 2 -3
35.44, 90, 1 3 -1
36.58, 77, 2 1 -1
38.68, 100, 0 0 4
40.63, 75, 1 3 -3